Structure and theoretical powder XRD pattern of MgCu2W2O8 (a crystal structure in the Materials Project, relaxed with GGA+U; Cu Kα).

Main lines, sorted by position (2θ = 5–70°):
hkl	d/Å	2θ/deg	I (rel.)
0 1 0	6.949	12.74	448
0 0 1	4.985	17.79	350
0 1 1	4.050	21.94	902
1 1 0	3.949	22.52	528
1 1 -1	3.405	26.17	1000
1 1 1	2.856	31.32	600
1 2 0	2.814	31.80	487
1 2 1	2.327	38.69	427

abc: 4.916 6.949 5.106
angles: 90.00 102.52 90.00
Element x y z (fractional)
Mg (0.000, 0.000, 0.000)
Cu (0.000, 0.400, 0.000)
Cu (0.500, 0.559, 0.000)
W (0.000, 0.734, 0.500)
W (0.500, 0.040, 0.500)
O (0.180, 0.551, 0.742)
O (0.233, 0.965, 0.714)
O (0.257, 0.809, 0.279)
O (0.277, 0.197, 0.251)
O (0.723, 0.197, 0.749)
O (0.743, 0.809, 0.721)
O (0.767, 0.965, 0.286)
O (0.820, 0.551, 0.258)